No. 1
Calculated powder X-ray diffraction pattern of Ga2HgBr2Cl6 for CuKα, from a GGA-PBE-relaxed structure.
Peak positions follow from Bragg's law for the DFT cell and can differ from measured ones.

Most intense lines, 5° ≤ 2θ ≤ 70°, by angle:
2θ (°), Rel. int.
7.74, 54.2
17.71, 100.0
22.29, 32.1
27.72, 26.8
28.40, 19.8
33.09, 22.5
35.33, 16.0
43.70, 20.3
48.91, 19.9
49.03, 17.4

Structure:
abc: 6.436 6.436 11.416
angles: 90.00 90.00 120.00
Atoms (fractional coordinates):
Ga 0.333 0.667 0.286
Ga 0.667 0.333 0.714
Hg 0.000 0.000 0.500
Br 0.333 0.667 0.086
Br 0.667 0.333 0.914
Cl 0.005 0.660 0.358
Cl 0.340 0.345 0.358
Cl 0.345 0.005 0.642
Cl 0.655 0.995 0.358
Cl 0.660 0.655 0.642
Cl 0.995 0.340 0.642


No. 2
Calculated powder X-ray diffraction pattern of GaP2BrCl for CuKα, from a GGA-PBE-relaxed structure.
Peak positions follow from Bragg's law for the DFT cell and can differ from measured ones.

Most intense lines, 5° ≤ 2θ ≤ 70°, by angle:
2θ (°), Rel. int.
25.71, 61.4
26.04, 100.0
31.89, 47.9
36.68, 90.8
37.62, 42.1
45.53, 45.4
46.12, 24.9
52.84, 29.9
53.55, 57.3
66.67, 29.1

Structure:
abc: 4.900 4.900 4.782
angles: 90.00 90.00 90.00
Atoms (fractional coordinates):
Ga 0.000 0.000 0.000
P 0.000 0.500 0.000
P 0.500 0.000 0.000
Br 0.500 0.500 0.500
Cl 0.000 0.000 0.500


No. 3
Calculated powder X-ray diffraction pattern of Ga2PbBr2Cl2 for CuKα, from a GGA-PBE-relaxed structure.
Peak positions follow from Bragg's law for the DFT cell and can differ from measured ones.

Most intense lines, 5° ≤ 2θ ≤ 70°, by angle:
2θ (°), Rel. int.
13.79, 100.0
21.16, 43.5
22.09, 84.9
22.59, 73.6
23.98, 73.7
31.10, 68.8
32.49, 65.5
33.26, 51.1
34.53, 86.5
37.04, 66.6

Structure:
abc: 4.212 7.715 7.956
angles: 112.76 90.08 105.70
Atoms (fractional coordinates):
Ga 0.136 0.268 0.060
Ga 0.864 0.732 0.940
Pb 0.000 0.000 0.500
Br 0.217 0.434 0.767
Br 0.783 0.566 0.233
Cl 0.480 0.959 0.736
Cl 0.520 0.041 0.264


No. 4
Calculated powder X-ray diffraction pattern of SrGaBr4Cl for CuKα, from a GGA-PBE-relaxed structure.
Peak positions follow from Bragg's law for the DFT cell and can differ from measured ones.

Most intense lines, 5° ≤ 2θ ≤ 70°, by angle:
2θ (°), Rel. int.
8.77, 83.3
16.59, 33.5
17.15, 100.0
19.16, 53.5
20.97, 35.0
27.47, 44.1
27.66, 62.1
31.16, 92.0
32.03, 34.3
40.10, 44.3

Structure:
abc: 7.615 7.615 10.543
angles: 102.43 102.43 85.53
Atoms (fractional coordinates):
Sr 0.196 0.196 0.056
Sr 0.804 0.804 0.944
Ga 0.342 0.342 0.737
Ga 0.658 0.658 0.263
Br 0.147 0.501 0.882
Br 0.189 0.189 0.538
Br 0.455 0.455 0.290
Br 0.499 0.853 0.118
Br 0.501 0.147 0.882
Br 0.545 0.545 0.710
Br 0.811 0.811 0.462
Br 0.853 0.499 0.118
Cl 0.006 0.006 0.176
Cl 0.994 0.994 0.824